Diffraction record for CaBrCl2. The X-ray powder pattern is simulated, not measured: it uses a cell relaxed with GGA-PBE and copper Kα.

Cell: 7.1699 4.1218 10.4306 Å, 90.00 98.94 90.00°
Space group P2_1 (No. 4)
One atom of each set of equivalent atoms:
Ca  0.2493  0.0000  0.4964 x2
Br  0.1406  0.9973  0.0155 x2
Cl  0.1171  0.4999  0.6345 x2
Cl  0.3896  0.5000  0.3624 x2

Top 10 peaks for 2θ from 5° to 70°, low angle first:
(hkl)  two_theta  d [Å]  I/Imax
1 0 0  12.50  7.083  41
1 0 -1  14.03  6.313  42
0 0 2  17.21  5.152  99
0 0 3  25.94  3.435  27
1 1 1  27.10  3.290  61
1 1 -2  29.35  3.044  100
2 0 2  32.84  2.727  32
3 1 -1  43.87  2.064  35
0 2 0  43.93  2.061  27
1 1 4  45.01  2.014  38